Gd2Al6Si4Au: computed powder XRD pattern (Cu Kα (λ = 1.5418 Å)), based on a cell relaxed with GGA-PBE.

Cell and atoms:
```
data_Gd2Al6Si4Au
_chemical_formula_sum 'Gd6 Al18 Si12 Au3'
_space_group_name_H-M_alt 'R -3 m'
_space_group_IT_number 166
_space_group_name_Hall '-R 3 2"'
_cell_length_a 4.2202
_cell_length_b 4.2202
_cell_length_c 50.4529
_cell_angle_alpha 90.00
_cell_angle_beta 90.00
_cell_angle_gamma 120.00
loop_
_atom_site_label
_atom_site_type_symbol
_atom_site_fract_x
_atom_site_fract_y
_atom_site_fract_z
Gd1 Gd 0.0000 0.0000 0.0650
Al1 Al 0.0000 0.0000 0.1840
Al2 Al 0.0000 0.0000 0.3146
Al3 Al 0.0000 0.0000 0.4474
Si1 Si 0.0000 0.0000 0.2342
Si2 Si 0.0000 0.0000 0.3643
Au1 Au 0.0000 0.0000 0.5000
```

Largest 6 diffraction maxima, in order of falling intensity, 10 to 90 degrees two-theta:
Position (°2θ)	d [Å]	I/Imax	hkl
27.36	3.260	100	1 0 7
37.68	2.387	62	1 0 16
42.86	2.110	61	1 1 0
15.81	5.606	55	0 0 9
24.61	3.617	41	0 1 2
25.93	3.436	30	0 1 5